Simulated X-ray diffraction stick pattern
Compound: Na3VO3
Radiation: Cu Kα X-rays
Structure: a DFT-relaxed cell (PBE+U, Alexandria)
No peak broadening, texture or thermal motion is included.

Largest 8 diffraction maxima, by angle, 2θ = 5–70°:
| 2theta | I_rel | (hkl) |
| --- | --- | --- |
| 21.21 | 82 | 0 1 1 |
| 23.37 | 28 | 1 1 1 |
| 33.67 | 96 | 2 2 1 |
| 38.18 | 73 | 0 0 2 |
| 39.51 | 100 | 4 0 0 |
| 56.11 | 62 | 4 0 2 |
| 57.10 | 27 | 4 4 0 |
| 67.89 | 19 | 2 6 1 |

Structural model:
Unit cell a=9.1145 b=9.1335 c=4.7141 alpha=90.00 beta=90.00 gamma=90.00
Space group Pnnm (No. 58)
Inequivalent atoms, fractional coordinates:
Na  0.1215  0.1315  0.0000 [4 per cell]
Na  0.1318  0.8774  0.5000 [4 per cell]
Na  0.1397  0.6397  0.0000 [4 per cell]
V  0.1192  0.3811  0.5000 [4 per cell]
O  0.0975  0.5973  0.5000 [4 per cell]
O  0.1075  0.1822  0.5000 [4 per cell]
O  0.1815  0.8925  0.0000 [4 per cell]